This entry pairs a crystal structure of Ac6GeTe3S2 with its calculated powder XRD pattern. Radiation: Cu Ka. Structure: a crystal structure in Alexandria, relaxed with PBE.
No peak broadening, texture or thermal motion is included.

Structure:
```
Ac6GeTe3S2
1.0
3.9075 -6.7645 0.0000
3.9075 6.7645 0.0000
-2.6029 0.0000 7.7254
Ac Ge Te S
6 1 3 2
Cartesian
-0.0031 2.2640 6.0349
1.2909 0.0000 1.6840
-0.0031 -2.2640 6.0349
5.2152 2.2640 1.6906
3.9212 0.0000 6.0415
5.2152 -2.2640 1.6906
3.9075 0.0000 0.0000
-1.3015 0.0000 3.8627
2.6061 2.2405 3.8627
2.6061 -2.2405 3.8627
3.9075 4.5049 0.0000
3.9075 -4.5049 0.0000
```

Principal peaks in the range 2θ = 10–90°, sorted by position:
- 2θ 23.05, d = 3.859 Å, I = 12
- 2θ 24.04, d = 3.702 Å, I = 27
- 2θ 27.54, d = 3.239 Å, I = 100
- 2θ 29.91, d = 2.987 Å, I = 11
- 2θ 38.69, d = 2.327 Å, I = 35
- 2θ 39.97, d = 2.255 Å, I = 39
- 2θ 49.23, d = 1.851 Å, I = 21
- 2θ 56.82, d = 1.620 Å, I = 18
- 2θ 63.41, d = 1.467 Å, I = 13
- 2θ 65.20, d = 1.431 Å, I = 19